# 1
The following is a theoretical powder diffractogram of Sr2In6Au3. It was derived from a PBE-relaxed structure, using a wavelength of 1.5418 Å.
Lines closer than 0.1° are merged.

Most intense lines, 10 to 80 degrees two-theta, in order of rising 2θ:
Position (°2θ), intensity
20.7, 58.3
28.4, 100.0
36.2, 56.8
37.4, 98.8
39.1, 43.6
41.3, 44.5
43.9, 28.8
54.3, 35.2
60.2, 23.5
60.4, 30.0

Crystal structure
abc: 8.5941 8.5941 4.6108
angles: 90.00 90.00 120.00
Atoms (fractional coordinates):
Sr1 0.3333 0.6667 0.0000
Sr2 0.6667 0.3333 0.0000
In1 0.0000 0.2017 0.0000
In2 0.0000 0.6979 0.5000
In3 0.2017 0.0000 0.0000
In4 0.3021 0.3021 0.5000
In5 0.6979 0.0000 0.5000
In6 0.7983 0.7983 0.0000
Au1 0.0000 0.3796 0.5000
Au2 0.3796 0.0000 0.5000
Au3 0.6204 0.6204 0.5000



# 2
The following is a theoretical powder diffractogram of Sr2In6Au. It was derived from a PBE-relaxed structure, using a wavelength of 1.5418 Å.
Lines closer than 0.1° are merged.

Most intense lines, 10 to 80 degrees two-theta, in order of rising 2θ:
Position (°2θ), intensity
15.3, 21.8
30.2, 41.5
31.7, 30.3
34.0, 100.0
41.9, 40.4
50.4, 12.2
55.1, 25.8
60.3, 16.1
66.3, 22.9
71.6, 16.0

Crystal structure
abc: 6.6686 6.6686 6.4667
angles: 90.00 90.00 120.00
Atoms (fractional coordinates):
Sr1 0.3333 0.6667 0.1492
Sr2 0.6667 0.3333 0.8508
In1 0.1742 0.3484 0.6789
In2 0.1742 0.8258 0.6789
In3 0.3484 0.1742 0.3211
In4 0.6516 0.8258 0.6789
In5 0.8258 0.1742 0.3211
In6 0.8258 0.6516 0.3211
Au1 0.0000 0.0000 0.0000



# 3
The following is a theoretical powder diffractogram of SrInAu5. It was derived from a PBE-relaxed structure, using a wavelength of 1.5418 Å.
Lines closer than 0.1° are merged.

Most intense lines, 10 to 80 degrees two-theta, in order of rising 2θ:
Position (°2θ), intensity
20.1, 34.3
31.6, 54.2
34.5, 84.5
36.7, 47.9
38.7, 36.3
40.2, 92.4
40.7, 100.0
47.5, 37.6
63.3, 40.3
71.1, 26.9

Crystal structure
abc: 5.8907 5.8907 5.8907
angles: 102.82 102.82 123.80
Atoms (fractional coordinates):
Sr1 0.0000 0.0000 0.0000
In1 0.7500 0.2500 0.5000
Au1 0.2500 0.7500 0.5000
Au2 0.3062 0.3062 0.6125
Au3 0.3062 0.6938 0.0000
Au4 0.6938 0.3062 0.0000
Au5 0.6938 0.6938 0.3875



# 4
The following is a theoretical powder diffractogram of Sr12InAu6. It was derived from a PBE-relaxed structure, using a wavelength of 1.5418 Å.
Lines closer than 0.1° are merged.

Most intense lines, 10 to 80 degrees two-theta, in order of rising 2θ:
Position (°2θ), intensity
11.2, 20.3
15.9, 33.7
29.9, 100.0
34.1, 19.0
41.2, 45.5
48.9, 18.5
53.2, 11.2
58.4, 12.9
65.9, 14.8
72.9, 17.4

Crystal structure
abc: 9.6699 9.6699 9.6699
angles: 109.47 109.47 109.47
Atoms (fractional coordinates):
Sr1 0.1225 0.8218 0.3007
Sr2 0.1782 0.3007 0.4789
Sr3 0.1782 0.6993 0.8775
Sr4 0.3007 0.1225 0.8218
Sr5 0.3007 0.4789 0.1782
Sr6 0.4789 0.1782 0.3007
Sr7 0.5211 0.8218 0.6993
Sr8 0.6993 0.5211 0.8218
Sr9 0.6993 0.8775 0.1782
Sr10 0.8218 0.3007 0.1225
Sr11 0.8218 0.6993 0.5211
Sr12 0.8775 0.1782 0.6993
In1 0.0000 0.0000 0.0000
Au1 0.1283 0.6283 0.5000
Au2 0.3717 0.5000 0.8717
Au3 0.5000 0.1283 0.6283
Au4 0.5000 0.8717 0.3717
Au5 0.6283 0.5000 0.1283
Au6 0.8717 0.3717 0.5000



# 5
The following is a theoretical powder diffractogram of Sr3In6Au5. It was derived from a PBE-relaxed structure, using a wavelength of 1.5418 Å.
Lines closer than 0.1° are merged.

Most intense lines, 10 to 80 degrees two-theta, in order of rising 2θ:
Position (°2θ), intensity
20.8, 23.2
31.7, 33.8
31.8, 100.0
34.2, 29.2
37.2, 40.5
38.3, 39.3
38.6, 58.6
39.0, 23.7
39.6, 24.6
41.0, 32.6

Crystal structure
abc: 4.6629 14.0998 10.6286
angles: 90.00 90.00 90.00
Atoms (fractional coordinates):
Sr1 0.2500 0.0521 0.2453
Sr2 0.2500 0.4479 0.2453
Sr3 0.2500 0.7500 0.2626
Sr4 0.7500 0.2500 0.7374
Sr5 0.7500 0.5521 0.7547
Sr6 0.7500 0.9479 0.7547
In1 0.2500 0.0725 0.5905
In2 0.2500 0.2500 0.0350
In3 0.2500 0.2500 0.4116
In4 0.2500 0.4275 0.5905
In5 0.2500 0.5967 0.9843
In6 0.2500 0.9033 0.9843
In7 0.7500 0.0967 0.0157
In8 0.7500 0.4033 0.0157
In9 0.7500 0.5725 0.4095
In10 0.7500 0.7500 0.5884
In11 0.7500 0.7500 0.9650
In12 0.7500 0.9275 0.4095
Au1 0.2500 0.0947 0.8562
Au2 0.2500 0.4053 0.8562
Au3 0.2500 0.6324 0.5431
Au4 0.2500 0.7500 0.7902
Au5 0.2500 0.8676 0.5431
Au6 0.7500 0.1324 0.4569
Au7 0.7500 0.2500 0.2098
Au8 0.7500 0.3676 0.4569
Au9 0.7500 0.5947 0.1438
Au10 0.7500 0.9053 0.1438



# 6
The following is a theoretical powder diffractogram of SrZnIn2Au5. It was derived from a PBE-relaxed structure, using a wavelength of 1.5418 Å.
Lines closer than 0.1° are merged.

Most intense lines, 10 to 80 degrees two-theta, in order of rising 2θ:
Position (°2θ), intensity
15.9, 22.8
25.6, 76.6
35.5, 100.0
36.6, 86.2
38.7, 59.4
39.7, 46.7
52.7, 21.0
54.3, 44.7
56.6, 26.2
74.0, 21.2

Crystal structure
abc: 8.3260 8.3260 8.3260
angles: 145.66 137.71 55.57
Atoms (fractional coordinates):
Sr1 0.0000 0.0000 0.0000
Zn1 0.5000 0.5000 0.0000
In1 0.3075 0.8075 0.5000
In2 0.6925 0.1925 0.5000
Au1 0.0942 0.3561 0.7382
Au2 0.3821 0.6439 0.7382
Au3 0.5000 0.0000 0.5000
Au4 0.6179 0.3561 0.2618
Au5 0.9058 0.6439 0.2618



# 7
The following is a theoretical powder diffractogram of TaInAu2. It was derived from a PBE-relaxed structure, using a wavelength of 1.5418 Å.
Lines closer than 0.1° are merged.

Most intense lines, 10 to 80 degrees two-theta, in order of rising 2θ:
Position (°2θ), intensity
19.3, 7.1
34.7, 31.3
34.9, 36.4
39.2, 100.0
50.0, 22.8
62.7, 6.8
65.1, 17.2
65.4, 22.3
73.6, 7.3
73.8, 12.1

Crystal structure
abc: 5.9678 5.9678 5.9678
angles: 151.24 128.96 59.64
Atoms (fractional coordinates):
Ta1 0.0000 0.0000 0.0000
In1 0.5000 0.5000 0.0000
Au1 0.2313 0.7313 0.5000
Au2 0.7687 0.2687 0.5000



# 8
The following is a theoretical powder diffractogram of TbIn2Au2. It was derived from a PBE-relaxed structure, using a wavelength of 1.5418 Å.
Lines closer than 0.1° are merged.

Most intense lines, 10 to 80 degrees two-theta, in order of rising 2θ:
Position (°2θ), intensity
20.1, 12.0
25.5, 23.2
31.4, 7.4
36.3, 28.7
36.6, 27.9
37.6, 100.0
52.5, 19.9
66.2, 18.8
66.5, 18.5
68.4, 7.4

Crystal structure
abc: 4.9448 4.9108 9.8891
angles: 90.00 90.02 90.00
Atoms (fractional coordinates):
Tb1 0.2493 0.2500 0.3239
Tb2 0.7507 0.7500 0.6761
In1 0.2502 0.2500 0.6717
In2 0.2506 0.2500 0.9897
In3 0.7494 0.7500 0.0103
In4 0.7498 0.7500 0.3283
Au1 0.2494 0.7500 0.1546
Au2 0.2506 0.7500 0.5154
Au3 0.7494 0.2500 0.4846
Au4 0.7506 0.2500 0.8454



# 9
The following is a theoretical powder diffractogram of TbInAu3. It was derived from a PBE-relaxed structure, using a wavelength of 1.5418 Å.
Lines closer than 0.1° are merged.

Most intense lines, 10 to 80 degrees two-theta, in order of rising 2θ:
Position (°2θ), intensity
12.6, 12.9
25.4, 11.7
34.6, 53.9
35.9, 100.0
37.4, 44.8
37.9, 26.4
43.1, 30.7
54.3, 21.3
66.4, 16.9
71.3, 19.2

Crystal structure
abc: 4.8142 6.4495 7.0040
angles: 90.00 90.00 90.00
Atoms (fractional coordinates):
Tb1 0.2500 0.2500 0.1859
Tb2 0.7500 0.7500 0.8141
In1 0.2500 0.7500 0.4515
In2 0.7500 0.2500 0.5485
Au1 0.2500 0.0357 0.7500
Au2 0.2500 0.4643 0.7500
Au3 0.2500 0.7500 0.0643
Au4 0.7500 0.2500 0.9357
Au5 0.7500 0.5357 0.2500
Au6 0.7500 0.9643 0.2500



# 10
The following is a theoretical powder diffractogram of Tb6In3Au. It was derived from a PBE-relaxed structure, using a wavelength of 1.5418 Å.
Lines closer than 0.1° are merged.

Most intense lines, 10 to 80 degrees two-theta, in order of rising 2θ:
Position (°2θ), intensity
31.3, 15.1
32.3, 100.0
32.5, 33.4
33.9, 94.5
34.9, 56.8
46.6, 14.8
48.4, 24.2
59.5, 14.2
60.9, 16.1
61.9, 16.7

Crystal structure
abc: 9.8910 5.1439 11.4504
angles: 90.00 107.99 90.00
Atoms (fractional coordinates):
Tb1 0.0430 0.2500 0.4086
Tb2 0.1514 0.7500 0.1920
Tb3 0.2497 0.2500 0.0133
Tb4 0.3723 0.7500 0.8448
Tb5 0.3761 0.2500 0.3474
Tb6 0.3970 0.2500 0.6406
Tb7 0.6030 0.7500 0.3594
Tb8 0.6239 0.7500 0.6526
Tb9 0.6277 0.2500 0.1552
Tb10 0.7503 0.7500 0.9867
Tb11 0.8486 0.2500 0.8080
Tb12 0.9570 0.7500 0.5914
In1 0.0443 0.7500 0.8896
In2 0.1310 0.2500 0.7243
In3 0.2785 0.7500 0.4877
In4 0.7215 0.2500 0.5123
In5 0.8690 0.7500 0.2757
In6 0.9557 0.2500 0.1104
Au1 0.4061 0.7500 0.1154
Au2 0.5939 0.2500 0.8846



# 11
The following is a theoretical powder diffractogram of In2TeAu. It was derived from a PBE-relaxed structure, using a wavelength of 1.5418 Å.
Lines closer than 0.1° are merged.

Most intense lines, 10 to 80 degrees two-theta, in order of rising 2θ:
Position (°2θ), intensity
12.5, 16.6
24.6, 12.1
25.7, 43.4
32.2, 100.0
38.4, 39.6
42.6, 56.6
49.4, 16.2
54.4, 22.3
68.9, 20.2
71.5, 19.6

Crystal structure
abc: 7.5179 7.5179 7.5179
angles: 32.76 32.76 32.76
Atoms (fractional coordinates):
In1 0.0000 0.0000 0.0000
In2 0.1884 0.1884 0.1884
Te1 0.4282 0.4282 0.4282
Au1 0.5953 0.5953 0.5953



# 12
The following is a theoretical powder diffractogram of In2Te4Au. It was derived from a PBE-relaxed structure, using a wavelength of 1.5418 Å.
Lines closer than 0.1° are merged.

Most intense lines, 10 to 80 degrees two-theta, in order of rising 2θ:
Position (°2θ), intensity
18.3, 46.4
23.4, 44.8
24.2, 91.1
26.5, 78.1
34.2, 99.7
41.1, 100.0
44.4, 71.1
45.4, 27.2
54.5, 26.0
77.3, 27.5

Crystal structure
abc: 4.3884 4.3884 14.5091
angles: 90.00 90.00 120.00
Atoms (fractional coordinates):
In1 0.0000 0.0000 0.0000
In2 0.3333 0.6667 0.3130
Te1 0.0000 0.0000 0.1930
Te2 0.0000 0.0000 0.6783
Te3 0.6667 0.3333 0.4196
Te4 0.6667 0.3333 0.9066
Au1 0.6667 0.3333 0.6120